Diffraction record for Pr4SmHo15. The X-ray powder pattern is theoretical, not measured: it uses a crystal structure in Alexandria, relaxed with GGA-PBE and copper Kα.

Largest 10 diffraction maxima, in order of rising 2θ, 2θ from 10° to 90°:
- 2.912 Å, 30.7°, I = 100, hkl 1 1 5
- 2.526 Å, 35.5°, I = 34, hkl 2 0 0
- 2.513 Å, 35.7°, I = 17, hkl 0 0 10
- 1.786 Å, 51.1°, I = 12, hkl 2 2 0
- 1.782 Å, 51.3°, I = 24, hkl 2 0 10
- 1.523 Å, 60.8°, I = 29, hkl 3 1 5
- 1.517 Å, 61.1°, I = 14, hkl 1 1 15
- 1.456 Å, 63.9°, I = 12, hkl 2 2 10
- 1.159 Å, 83.4°, I = 6, hkl 3 3 5
- 1.156 Å, 83.6°, I = 12, hkl 3 1 15

Cell and atoms:
abc: 5.0529 5.0529 25.1262
angles: 90.00 90.00 90.00
Space group P4/mmm (No. 123)
Asymmetric unit:
1 Pr 0.0000 0.0000 0.1001
2 Pr 0.0000 0.0000 0.3003
3 Sm 0.0000 0.0000 0.5000
4 Ho 0.0000 0.5000 0.0000
5 Ho 0.0000 0.5000 0.2002
6 Ho 0.0000 0.5000 0.4008
7 Ho 0.5000 0.5000 0.1001
8 Ho 0.5000 0.5000 0.3006
9 Ho 0.5000 0.5000 0.5000